Structure and theoretical powder XRD pattern of LiZrTlNi (a GGA-PBE-relaxed structure; a wavelength of 1.5418 Å).
Peak positions follow from Bragg's law for the DFT cell and can differ from measured ones.

Principal peaks in the range 15° ≤ 2θ ≤ 90°, sorted by position:
- 2θ = 24.1°, 3.697 Å, I 27
- 2θ = 27.9°, 3.202 Å, I 48
- 2θ = 39.8°, 2.264 Å, I 100
- 2θ = 47.1°, 1.931 Å, I 14
- 2θ = 49.3°, 1.848 Å, I 14
- 2θ = 57.6°, 1.601 Å, I 17
- 2θ = 63.3°, 1.469 Å, I 6
- 2θ = 65.2°, 1.432 Å, I 18
- 2θ = 72.3°, 1.307 Å, I 34
- 2θ = 85.9°, 1.132 Å, I 11

```
data_LiZrTlNi
_symmetry_space_group_name_H-M 'P 1'
_symmetry_Int_Tables_number 1
_symmetry_space_group_name_Hall 'P 1'
_cell_length_a 4.5277
_cell_length_b 4.5277
_cell_length_c 4.5277
_cell_angle_alpha 60.00
_cell_angle_beta 60.00
_cell_angle_gamma 60.00
loop_
_atom_site_label
_atom_site_type_symbol
_atom_site_fract_x
_atom_site_fract_y
_atom_site_fract_z
_atom_site_occupancy
Li1 Li 0.0000 0.0000 0.0000 1
Zr1 Zr 0.7500 0.7500 0.7500 1
Tl1 Tl 0.2500 0.2500 0.2500 1
Ni1 Ni 0.5000 0.5000 0.5000 1
```